Diffraction record for NdPb3. The powder diffractogram is calculated, not measured: it uses a cell relaxed with PBE and CuKα.
Kinematic intensities with the Lorentz-polarization factor, no thermal factor.

Peak list (6 most intense, 2θ from 10° to 90°, by angle)
| h k l | 2theta | I_rel |
| --- | --- | --- |
| 1 1 1 | 31.4 | 100 |
| 2 0 0 | 36.4 | 51 |
| 2 2 0 | 52.4 | 36 |
| 3 1 1 | 62.3 | 44 |
| 3 3 1 | 85.7 | 19 |
| 4 2 0 | 88.5 | 18 |

Atomic structure:
abc: 4.940 4.940 4.940
angles: 90.00 90.00 90.00
Space group Pm-3m (No. 221)
One atom of each set of equivalent atoms:
Nd1 0.000 0.000 0.000
Pb1 0.000 0.500 0.500

Diffraction record for NdPd2Pb. The powder diffractogram is calculated, not measured: it uses a cell relaxed with PBE and CuKα.
Kinematic intensities with the Lorentz-polarization factor, no thermal factor.

Peak list (6 most intense, 2θ from 10° to 90°, by angle)
| h k l | 2theta | I_rel |
| --- | --- | --- |
| 2 0 0 | 25.3 | 6 |
| 2 2 0 | 36.1 | 100 |
| 4 0 0 | 52.0 | 18 |
| 4 2 2 | 65.0 | 36 |
| 4 4 0 | 76.6 | 11 |
| 6 2 0 | 87.8 | 17 |

Atomic structure:
abc: 7.033 7.033 7.033
angles: 90.00 90.00 90.00
Space group Fm-3m (No. 225)
One atom of each set of equivalent atoms:
Nd1 0.000 0.000 0.000
Pd1 0.250 0.250 0.250
Pb1 0.000 0.000 0.500

Diffraction record for Nd2Si2PbS8. The powder diffractogram is calculated, not measured: it uses a cell relaxed with PBE and CuKα.
Kinematic intensities with the Lorentz-polarization factor, no thermal factor.

Peak list (6 most intense, 2θ from 10° to 90°, by angle)
| h k l | 2theta | I_rel |
| --- | --- | --- |
| 0 0 2 | 19.8 | 52 |
| 3 1 0 | 21.8 | 100 |
| 0 2 1 | 21.9 | 98 |
| 3 1 -2 | 22.2 | 94 |
| 3 3 -1 | 34.2 | 76 |
| 3 3 1 | 39.6 | 56 |

Atomic structure:
abc: 15.655 9.096 10.243
angles: 90.00 119.02 90.00
Space group Cc (No. 9)
One atom of each set of equivalent atoms:
Nd1 0.000 0.059 0.000
Nd2 0.342 0.095 0.995
Si1 0.087 0.241 0.768
Si2 0.409 0.243 0.725
Pb1 0.159 0.410 0.497
S1 0.052 0.165 0.311
S2 0.067 0.455 0.673
S3 0.166 0.106 0.694
S4 0.166 0.234 0.007
S5 0.337 0.372 0.817
S6 0.342 0.244 0.487
S7 0.409 0.021 0.792
S8 0.442 0.342 0.193

Diffraction record for Nd2Sn3Pb3S12. The powder diffractogram is calculated, not measured: it uses a cell relaxed with PBE and CuKα.
Kinematic intensities with the Lorentz-polarization factor, no thermal factor.

Peak list (6 most intense, 2θ from 10° to 90°, by angle)
| h k l | 2theta | I_rel |
| --- | --- | --- |
| 0 6 0 | 25.9 | 28 |
| 0 3 3 | 26.2 | 45 |
| 1 0 2 | 27.0 | 100 |
| 1 4 2 | 32.2 | 60 |
| 1 1 3 | 32.3 | 27 |
| 1 6 2 | 37.8 | 27 |

Atomic structure:
abc: 3.990 20.607 11.737
angles: 90.00 90.00 90.00
Space group Pmc2_1 (No. 26)
One atom of each set of equivalent atoms:
Nd1 0.000 0.088 0.000
Nd2 0.000 0.395 0.674
Sn1 0.500 0.076 0.344
Sn2 0.500 0.250 0.851
Sn3 0.500 0.411 0.367
Pb1 0.000 0.123 0.620
Pb2 0.000 0.243 0.253
Pb3 0.000 0.413 0.047
S1 0.000 0.012 0.284
S2 0.000 0.243 0.994
S3 0.000 0.256 0.701
S4 0.000 0.341 0.447
S5 0.000 0.481 0.289
S6 0.500 0.013 0.532
S7 0.500 0.127 0.830
S8 0.500 0.142 0.158
S9 0.500 0.177 0.452
S10 0.500 0.343 0.187
S11 0.500 0.374 0.846
S12 0.500 0.471 0.558

Diffraction record for Nd2Zn5Pb. The powder diffractogram is calculated, not measured: it uses a cell relaxed with PBE and CuKα.
Kinematic intensities with the Lorentz-polarization factor, no thermal factor.

Peak list (6 most intense, 2θ from 10° to 90°, by angle)
| h k l | 2theta | I_rel |
| --- | --- | --- |
| 1 1 2 | 28.3 | 54 |
| 1 3 2 | 32.2 | 100 |
| 1 5 0 | 33.4 | 48 |
| 0 6 2 | 37.9 | 26 |
| 2 0 0 | 40.1 | 47 |
| 0 6 3 | 44.1 | 35 |

Atomic structure:
abc: 4.502 16.683 9.147
angles: 90.00 90.00 90.00
Space group Cmcm (No. 63)
One atom of each set of equivalent atoms:
Nd1 0.000 0.000 0.000
Nd2 0.000 0.205 0.250
Zn1 0.000 0.186 0.609
Zn2 0.000 0.342 0.515
Zn3 0.000 0.392 0.250
Pb1 0.000 0.446 0.750

Diffraction record for NdPd2. The powder diffractogram is calculated, not measured: it uses a cell relaxed with PBE and CuKα.
Kinematic intensities with the Lorentz-polarization factor, no thermal factor.

Peak list (6 most intense, 2θ from 10° to 90°, by angle)
| h k l | 2theta | I_rel |
| --- | --- | --- |
| 1 0 1 | 24.6 | 43 |
| 1 1 2 | 38.0 | 100 |
| 0 0 4 | 40.7 | 18 |
| 2 0 0 | 45.7 | 25 |
| 2 0 4 | 62.9 | 19 |
| 3 1 2 | 79.4 | 21 |

Atomic structure:
abc: 3.968 3.968 8.858
angles: 90.00 90.00 90.00
Space group I4/mmm (No. 139)
One atom of each set of equivalent atoms:
Nd1 0.000 0.000 0.000
Pd1 0.000 0.500 0.250